For NaBiW2S8, a structure optimized by DFT (GGA-PBE) gives the calculated XRD peak list in this record (λ = 1.5418 Å (Cu Kα)).
Kinematic intensities with the Lorentz-polarization factor, no thermal factor.

Cell and atoms:
Cell lengths 8.7984, 8.7984, 8.7984 Å; angles 138.89, 138.89, 59.54 degrees
Positions (direct):
1 Na 0.0000 0.0000 0.0000
2 Bi 0.7500 0.2500 0.5000
3 W 0.2500 0.7500 0.5000
4 W 0.5000 0.5000 0.0000
5 S 0.0356 0.4019 0.0921
6 S 0.0565 0.9644 0.3662
7 S 0.1587 0.5601 0.8811
8 S 0.3097 0.9435 0.9079
9 S 0.4399 0.3211 0.5987
10 S 0.5981 0.6903 0.6338
11 S 0.6789 0.2776 0.1189
12 S 0.7224 0.8413 0.4013

Principal peaks in the range 10° ≤ 2θ ≤ 80°, sorted by position:
2theta	I (rel.)
15.47	21
23.29	17
23.46	100
28.90	17
37.45	38
41.04	26
48.04	48
59.66	16